Mg14SiBi: simulated X-ray powder pattern (CuKα), based on the PBE geometry in the Materials Project.

Structure:
```
16
Lattice="10.265 0.000 0.000 0.000 3.284 5.427 0.000 -3.284 5.427" Properties=species:S:1:pos:R:3 pbc="T T T"
Mg 0.000 0.000 0.000
Mg 0.000 -1.635 2.726
Mg 0.000 0.000 5.420
Mg 0.000 1.635 2.726
Mg 2.516 0.000 7.278
Mg 2.579 -1.693 4.553
Mg 2.579 1.693 4.553
Mg 2.617 0.000 1.802
Mg 5.132 -1.638 8.140
Mg 5.132 1.638 8.140
Mg 7.648 0.000 1.802
Mg 7.686 -1.693 4.553
Mg 7.686 1.693 4.553
Mg 7.749 0.000 7.278
Si 5.132 0.000 0.045
Bi 5.132 0.000 5.461
```

Peak list (10 most intense, 2θ = 10–90°, sorted by position)
- 15.77°, d = 5.620 Å, I 39
- 16.33°, d = 5.427 Å, I 22
- 18.00°, d = 4.929 Å, I 61
- 18.49°, d = 4.798 Å, I 32
- 23.47°, d = 3.790 Å, I 36
- 31.85°, d = 2.810 Å, I 30
- 33.03°, d = 2.712 Å, I 30
- 34.96°, d = 2.566 Å, I 36
- 36.45°, d = 2.465 Å, I 100
- 37.49°, d = 2.399 Å, I 46